Calculated X-ray powder pattern of SrCa3Si2 for Cu Kα, from a GGA-PBE-relaxed structure.
Lines closer than 0.1° are merged.

The 10 most intense peaks (2θ = 10–90°), low angle first:
| d_spacing | 2θ/deg | I_rel |
| --- | --- | --- |
| 3.062 | 29.2 | 100 |
| 2.973 | 30.1 | 20 |
| 2.902 | 30.8 | 81 |
| 2.826 | 31.7 | 26 |
| 2.573 | 34.9 | 30 |
| 2.519 | 35.6 | 19 |
| 2.441 | 36.8 | 43 |
| 2.271 | 39.7 | 14 |
| 1.847 | 49.3 | 14 |
| 1.619 | 56.9 | 20 |

Cell and atoms:
a = 4.8803 Å, b = 9.0831 Å, c = 7.8650 Å
α = 90.00°, β = 90.00°, γ = 90.00°
Positions (direct):
Sr: 0.0000 0.0704 0.0000
Sr: 0.0000 0.9296 0.5000
Ca: 0.0000 0.3286 0.6310
Ca: 0.0000 0.6714 0.1310
Ca: 0.5000 0.1813 0.3299
Ca: 0.5000 0.4267 0.9571
Ca: 0.5000 0.5733 0.4571
Ca: 0.5000 0.8187 0.8299
Si: 0.0000 0.3581 0.2420
Si: 0.0000 0.6419 0.7420
Si: 0.5000 0.1473 0.7209
Si: 0.5000 0.8527 0.2209

---

Calculated X-ray powder pattern of SrCa2Si6 for Cu Kα, from a GGA-PBE-relaxed structure.
Lines closer than 0.1° are merged.

The 10 most intense peaks (2θ = 10–90°), low angle first:
| d_spacing | 2θ/deg | I_rel |
| --- | --- | --- |
| 6.130 | 14.4 | 9 |
| 3.602 | 24.7 | 6 |
| 3.539 | 25.2 | 10 |
| 2.771 | 32.3 | 100 |
| 2.226 | 40.5 | 15 |
| 2.043 | 44.3 | 35 |
| 1.645 | 55.9 | 19 |
| 1.505 | 61.6 | 25 |
| 1.369 | 68.6 | 10 |
| 1.281 | 74.0 | 16 |

Cell and atoms:
a = 7.0786 Å, b = 7.0786 Å, c = 4.4520 Å
α = 90.00°, β = 90.00°, γ = 120.00°
Positions (direct):
Sr: 0.0000 0.0000 0.0000
Ca: 0.3333 0.6667 0.0000
Ca: 0.6667 0.3333 0.0000
Si: 0.0000 0.3352 0.5000
Si: 0.0000 0.6648 0.5000
Si: 0.3352 0.0000 0.5000
Si: 0.3352 0.3352 0.5000
Si: 0.6648 0.0000 0.5000
Si: 0.6648 0.6648 0.5000

---

Calculated X-ray powder pattern of Sr3CaSi8 for Cu Kα, from a GGA-PBE-relaxed structure.
Lines closer than 0.1° are merged.

The 10 most intense peaks (2θ = 10–90°), low angle first:
| d_spacing | 2θ/deg | I_rel |
| --- | --- | --- |
| 4.599 | 19.3 | 20 |
| 2.918 | 30.6 | 97 |
| 2.908 | 30.7 | 100 |
| 2.669 | 33.6 | 26 |
| 2.657 | 33.7 | 99 |
| 1.962 | 46.3 | 32 |
| 1.747 | 52.4 | 20 |
| 1.738 | 52.7 | 37 |
| 1.629 | 56.5 | 19 |
| 1.208 | 79.3 | 18 |

Cell and atoms:
a = 6.5145 Å, b = 6.5145 Å, c = 6.5145 Å
α = 89.75°, β = 89.75°, γ = 89.75°
Positions (direct):
Sr: 0.0000 0.2501 0.7499
Sr: 0.2501 0.7499 0.0000
Sr: 0.7499 0.0000 0.2501
Ca: 0.5000 0.5000 0.5000
Si: 0.0514 0.6995 0.5475
Si: 0.2068 0.2068 0.2068
Si: 0.3005 0.9486 0.4525
Si: 0.4525 0.3005 0.9486
Si: 0.5475 0.0514 0.6995
Si: 0.6995 0.5475 0.0514
Si: 0.7932 0.7932 0.7932
Si: 0.9486 0.4525 0.3005